# 1
Structure and calculated powder diffractogram of NdEr5Tm2Sc (a crystal structure in Alexandria, relaxed with GGA-PBE; Cu Kα (λ = 1.5418 Å)).
Peak positions follow from Bragg's law for the DFT cell and can differ from measured ones.

Cell and atoms:
```
data_NdEr5Tm2Sc
_cell_length_a 5.5135
_cell_length_b 19.5844
_cell_length_c 10.3001
_cell_angle_alpha 90.00
_cell_angle_beta 90.00
_cell_angle_gamma 90.00
_symmetry_space_group_name_H-M 'C m c 21'
_symmetry_Int_Tables_number 36
loop_
_symmetry_equiv_pos_as_xyz
'x,y,z'
'-x,-y,z+1/2'
'-x,y,z'
'x,-y,z+1/2'
'x+1/2,y+1/2,z'
'-x+1/2,-y+1/2,z+1/2'
'-x+1/2,y+1/2,z'
'x+1/2,-y+1/2,z+1/2'
loop_
_atom_site_label
_atom_site_type_symbol
_atom_site_fract_x
_atom_site_fract_y
_atom_site_fract_z
Nd1 Nd 0.0000 0.0869 0.0000
Er1 Er 0.0000 0.0200 0.2867
Er2 Er 0.0000 0.1219 0.5699
Er3 Er 0.0000 0.2016 0.2551
Er4 Er 0.0000 0.2233 0.8701
Er5 Er 0.0000 0.4819 0.5694
Tm1 Tm 0.0000 0.3864 0.2842
Tm2 Tm 0.0000 0.3887 0.8628
Sc1 Sc 0.0000 0.3039 0.5631
```

Principal peaks in the range 2θ = 10–90°, by angle:
2θ (°), I/Imax, (hkl)
27.35, 22.1, 1 3 2
28.69, 18.2, 0 6 1
31.02, 40.4, 1 1 3
32.48, 49.4, 2 0 0
33.01, 100.0, 1 5 2
58.28, 19.7, 3 5 2
60.98, 15.3, 1 11 3
63.13, 16.0, 2 6 5

=====

# 2
Structure and calculated powder diffractogram of RbSe (a crystal structure in Alexandria, relaxed with GGA-PBE; Cu Kα (λ = 1.5418 Å)).
Peak positions follow from Bragg's law for the DFT cell and can differ from measured ones.

Cell and atoms:
```
data_RbSe
_cell_length_a 5.5881
_cell_length_b 14.7894
_cell_length_c 6.8132
_cell_angle_alpha 90.00
_cell_angle_beta 90.00
_cell_angle_gamma 90.00
_symmetry_space_group_name_H-M 'I m m 2'
_symmetry_Int_Tables_number 44
loop_
_symmetry_equiv_pos_as_xyz
'x,y,z'
'-x,-y,z'
'-x,y,z'
'x,-y,z'
'x+1/2,y+1/2,z+1/2'
'-x+1/2,-y+1/2,z+1/2'
'-x+1/2,y+1/2,z+1/2'
'x+1/2,-y+1/2,z+1/2'
loop_
_atom_site_label
_atom_site_type_symbol
_atom_site_fract_x
_atom_site_fract_y
_atom_site_fract_z
Rb1 Rb 0.0000 0.0000 0.0000
Rb2 Rb 0.0000 0.2999 0.0849
Se1 Se 0.0000 0.3425 0.5847
Se2 Se 0.0000 0.5000 0.7534
```

Principal peaks in the range 2θ = 10–90°, by angle:
2θ (°), I/Imax, (hkl)
14.31, 65.6, 0 1 1
16.96, 35.9, 1 1 0
24.07, 84.4, 1 3 0
26.16, 38.6, 0 0 2
31.86, 43.4, 1 4 1
32.03, 50.8, 2 0 0
35.85, 100.0, 1 3 2
43.65, 26.6, 2 2 2

=====

# 3
Structure and calculated powder diffractogram of Li11Tl3 (a crystal structure in Alexandria, relaxed with GGA-PBE; Cu Kα (λ = 1.5418 Å)).
Peak positions follow from Bragg's law for the DFT cell and can differ from measured ones.

Cell and atoms:
```
data_Li11Tl3
_cell_length_a 4.5323
_cell_length_b 8.1576
_cell_length_c 13.8548
_cell_angle_alpha 90.00
_cell_angle_beta 90.00
_cell_angle_gamma 90.00
_symmetry_space_group_name_H-M 'I m m m'
_symmetry_Int_Tables_number 71
_symmetry_space_group_name_Hall '-I 2 2'
loop_
_atom_site_label
_atom_site_type_symbol
_atom_site_fract_x
_atom_site_fract_y
_atom_site_fract_z
Li1 Li 0.0000 0.0000 0.0000
Li2 Li 0.0000 0.1478 0.3099
Li3 Li 0.0000 0.2335 0.1345
Li4 Li 0.0000 0.2686 0.5000
Tl1 Tl 0.0000 0.5000 0.0000
Tl2 Tl 0.0000 0.5000 0.3179
```

Principal peaks in the range 2θ = 10–90°, by angle:
2θ (°), I/Imax, (hkl)
21.79, 51.2, 0 2 0
22.12, 98.6, 0 1 3
22.44, 100.0, 1 1 0
27.58, 60.3, 1 0 3
35.42, 70.0, 1 2 3
38.42, 26.7, 0 3 3
38.61, 28.4, 1 3 0
45.98, 29.6, 2 1 3